BaLaMnSnO6: computed powder X-ray diffraction pattern (λ = 1.5418 Å (Cu Kα)), based on a DFT-relaxed cell (GGA+U, Alexandria).
Intensities are scaled so that the largest is 100.

Atomic structure:
Lattice parameters (Å, degrees): 10.1257 5.6956 5.7170 90.00 122.86 90.00
Space group Cm (No. 8)
Asymmetric unit:
Ba (0.0000, 0.0000, 0.0000) x2
La (0.0061, 0.5000, 0.5299) x2
Mn (0.2481, 0.0000, 0.7472) x2
Sn (0.2524, 0.5000, 0.2576) x2
O (0.0176, 0.5000, 0.1220) x2
O (0.2098, 0.2587, 0.9387) x4
O (0.2955, 0.2281, 0.5430) x4
O (0.4910, 0.5000, 0.4483) x2

Main lines, low angle first (10° ≤ 2θ ≤ 80°):
2θ/deg, I (rel.), index
30.3, 100.0, 1 1 1
30.8, 92.4, 3 1 -1
31.3, 41.3, 2 0 -2
31.4, 44.4, 0 2 0
42.5, 28.7, 4 0 0
44.9, 51.5, 2 2 -2